Theoretical powder X-ray diffraction pattern of Dy2Zr8O19 for a wavelength of 1.5418 Å, from a structure optimized by DFT (GGA-PBE).
Lines closer than 0.1° are merged.

Main lines, by angle (2θ = 15–90°):
- hkl 1 0 5, 29.72 deg, d 3.006, I 100
- hkl 0 0 10, 34.08 deg, d 2.631, I 8
- hkl 1 1 0, 34.63 deg, d 2.590, I 17
- hkl 1 1 10, 49.37 deg, d 1.846, I 34
- hkl 2 0 0, 49.78 deg, d 1.832, I 19
- hkl 1 0 15, 58.33 deg, d 1.582, I 12
- hkl 2 1 5, 59.05 deg, d 1.564, I 28
- hkl 2 1 15, 80.17 deg, d 1.197, I 9

Cell and atoms:
```
data_Dy2Zr8O19
_space_group_name_H-M_alt 'P -4 m 2'
_space_group_IT_number 115
_space_group_name_Hall 'P -4 -2'
_cell_length_a 3.663
_cell_length_b 3.663
_cell_length_c 26.307
_cell_angle_alpha 90.00
_cell_angle_beta 90.00
_cell_angle_gamma 90.00
loop_
_atom_site_label
_atom_site_type_symbol
_atom_site_fract_x
_atom_site_fract_y
_atom_site_fract_z
Dy1 Dy 0.000 0.500 0.058
Zr1 Zr 0.000 0.500 0.254
Zr2 Zr 0.000 0.500 0.451
Zr3 Zr 0.000 0.500 0.647
Zr4 Zr 0.000 0.500 0.845
O1 O 0.000 0.000 0.000
O2 O 0.000 0.000 0.114
O3 O 0.000 0.000 0.213
O4 O 0.000 0.000 0.310
O5 O 0.000 0.000 0.406
O6 O 0.000 0.000 0.500
O7 O 0.500 0.500 0.097
O8 O 0.500 0.500 0.196
O9 O 0.500 0.500 0.296
O10 O 0.500 0.500 0.398
O11 O 0.500 0.500 0.500
```